Record 1
Na4PH5Se3O16: simulated X-ray diffraction stick pattern (Cu Kα (λ = 1.5418 Å)), based on DFT lattice parameters and positions (PBE).

Principal peaks in the range 10 to 90 degrees two-theta, low angle first:
22.2 deg, d = 4.004 Å, intensity 100, hkl 1 1 -1; 23.7 deg, d = 3.751 Å, intensity 40, hkl -1 1 1; 25.1 deg, d = 3.555 Å, intensity 52, hkl 0 0 2; 25.5 deg, d = 3.497 Å, intensity 62, hkl 2 0 0; 26.3 deg, d = 3.393 Å, intensity 41, hkl 1 0 2; 27.5 deg, d = 3.240 Å, intensity 47, hkl 0 2 1; 27.6 deg, d = 3.227 Å, intensity 47, hkl 1 2 1; 28.8 deg, d = 3.102 Å, intensity 37, hkl 0 2 -1; 30.0 deg, d = 2.981 Å, intensity 29, hkl 1 0 -2; 32.9 deg, d = 2.721 Å, intensity 53, hkl 2 0 2

Crystal structure
a = 7.1957 Å, b = 7.1988 Å, c = 7.2281 Å
α = 85.21°, β = 80.08°, γ = 79.95°
Atoms (fractional coordinates):
Na (0.0000, 0.0000, 0.0000)
Na (0.0612, 0.3245, 0.4794)
Na (0.6449, 0.3922, 0.8221)
Na (0.7079, 0.6979, 0.3381)
P (0.1270, 0.7962, 0.4458)
H (0.3151, 0.8563, 0.1789)
H (0.3193, 0.6301, 0.6220)
H (0.3701, 0.0717, 0.6939)
H (0.3765, 0.3492, 0.1599)
H (0.9142, 0.9691, 0.6521)
Se (0.1033, 0.4649, 0.9527)
Se (0.5737, 0.8772, 0.8629)
Se (0.5993, 0.2255, 0.3629)
O (0.0445, 0.9709, 0.5751)
O (0.1753, 0.8913, 0.2432)
O (0.1832, 0.3454, 0.1445)
O (0.3012, 0.5089, 0.8075)
O (0.3301, 0.7080, 0.4950)
O (0.3508, 0.0076, 0.8264)
O (0.3970, 0.1826, 0.4969)
O (0.5202, 0.8012, 0.0856)
O (0.5255, 0.3553, 0.1655)
O (0.6403, 0.7103, 0.7143)
O (0.7106, 0.3662, 0.4618)
O (0.7259, 0.0331, 0.8252)
O (0.7453, 0.0335, 0.2914)
O (0.9549, 0.6618, 0.0145)
O (0.9903, 0.3227, 0.8541)
O (0.9928, 0.6566, 0.4651)

Record 2
Na2TePH3O11: simulated X-ray diffraction stick pattern (Cu Kα (λ = 1.5418 Å)), based on DFT lattice parameters and positions (PBE).

Principal peaks in the range 10 to 90 degrees two-theta, low angle first:
11.6 deg, d = 7.617 Å, intensity 48, hkl 0 0 2; 18.0 deg, d = 4.925 Å, intensity 79, hkl 1 0 1; 20.7 deg, d = 4.297 Å, intensity 100, hkl 1 0 2; 23.4 deg, d = 3.808 Å, intensity 32, hkl 0 0 4; 24.5 deg, d = 3.635 Å, intensity 83, hkl 1 0 3; 29.7 deg, d = 3.005 Å, intensity 49, hkl 1 1 0; 38.1 deg, d = 2.359 Å, intensity 26, hkl 1 1 4; 38.9 deg, d = 2.316 Å, intensity 20, hkl 2 0 3; 46.8 deg, d = 1.939 Å, intensity 22, hkl 1 1 6; 49.7 deg, d = 1.834 Å, intensity 20, hkl 1 2 3

Crystal structure
a = 6.0103 Å, b = 6.0103 Å, c = 15.2339 Å
α = 90.00°, β = 90.00°, γ = 120.00°
Atoms (fractional coordinates):
Na (0.3333, 0.6667, 0.0000)
Na (0.3333, 0.6667, 0.2200)
Na (0.6667, 0.3333, 0.5000)
Na (0.6667, 0.3333, 0.7200)
Te (0.3333, 0.6667, 0.5505)
Te (0.6667, 0.3333, 0.0505)
P (0.0000, 0.0000, 0.2643)
P (0.0000, 0.0000, 0.7643)
H (0.1885, 0.7041, 0.8162)
H (0.2959, 0.4845, 0.8162)
H (0.4845, 0.1885, 0.3162)
H (0.5155, 0.8115, 0.8162)
H (0.7041, 0.5155, 0.3162)
H (0.8115, 0.2959, 0.3162)
O (0.0000, 0.0000, 0.1594)
O (0.0000, 0.0000, 0.6594)
O (0.0184, 0.4444, 0.6124)
O (0.0301, 0.2602, 0.2911)
O (0.0811, 0.6906, 0.4782)
O (0.2301, 0.9699, 0.2911)
O (0.2602, 0.2301, 0.7911)
O (0.3094, 0.3905, 0.4782)
O (0.3333, 0.6667, 0.8368)
O (0.3905, 0.0811, 0.9782)
O (0.4260, 0.9816, 0.6124)
O (0.4444, 0.4260, 0.1124)
O (0.5556, 0.5740, 0.6124)
O (0.5740, 0.0184, 0.1124)
O (0.6095, 0.9189, 0.4782)
O (0.6667, 0.3333, 0.3368)
O (0.6906, 0.6095, 0.9782)
O (0.7398, 0.7699, 0.2911)
O (0.7699, 0.0301, 0.7911)
O (0.9189, 0.3094, 0.9782)
O (0.9699, 0.7398, 0.7911)
O (0.9816, 0.5556, 0.1124)